Simulated powder X-ray diffraction pattern
Compound: NaNdMnWO6
Radiation: Cu Ka
Structure: a crystal structure in the Materials Project, relaxed with PBE+U

Cell and atoms:
Unit cell a=8.0489 b=8.0489 c=8.0489 alpha=90.00 beta=90.00 gamma=90.00
Space group F-43m (No. 216)
Unique sites:
Na  0.0000  0.0000  0.0000
Nd  0.0000  0.0000  0.5000
Mn  0.2500  0.2500  0.7500
W  0.2500  0.2500  0.2500
O  0.0098  0.2500  0.2500

Principal peaks in the range 2θ = 5–70°, in order of rising 2θ:
- 19.1 deg, I = 51
- 22.1 deg, I = 10
- 31.4 deg, I = 100
- 37.0 deg, I = 27
- 45.1 deg, I = 33
- 49.4 deg, I = 12
- 56.0 deg, I = 40
- 59.7 deg, I = 10
- 65.6 deg, I = 20
- 69.0 deg, I = 10

---

Simulated powder X-ray diffraction pattern
Compound: NaNdMnWO6
Radiation: Cu Ka
Structure: a crystal structure in the Materials Project, relaxed with PBE+U

Cell and atoms:
Unit cell a=5.5846 b=5.7058 c=8.0714 alpha=90.00 beta=90.10 gamma=90.00
Space group P2_1 (No. 4)
Unique sites:
Na  0.2485  0.0000  0.0008
Nd  0.2615  0.9215  0.5008
Mn  0.2489  0.4685  0.7611
W  0.2430  0.4761  0.2408
O  0.0451  0.7992  0.7765
O  0.0794  0.7719  0.2175
O  0.1547  0.5051  0.4917
O  0.3327  0.4444  0.0189
O  0.4437  0.2062  0.3129
O  0.4753  0.1747  0.6882

Principal peaks in the range 2θ = 5–70°, in order of rising 2θ:
- 11.0 deg, I = 28
- 19.0 deg, I = 23
- 19.3 deg, I = 22
- 24.9 deg, I = 26
- 31.4 deg, I = 25
- 31.5 deg, I = 100
- 32.1 deg, I = 24
- 45.5 deg, I = 25
- 55.9 deg, I = 17
- 56.8 deg, I = 23

---

Simulated powder X-ray diffraction pattern
Compound: NaMn2O4
Radiation: Cu Ka
Structure: a crystal structure in the Materials Project, relaxed with PBE+U

Cell and atoms:
Unit cell a=5.7047 b=11.4146 c=4.9506 alpha=90.00 beta=90.00 gamma=90.00
Space group Pmmn (No. 59, origin choice 2)
Unique sites:
Na  0.2500  0.2500  0.0200
Na  0.2500  0.7500  0.3578
Mn  0.0000  0.0000  0.5000
Mn  0.2500  0.5049  0.9958
O  0.0029  0.0919  0.8328
O  0.2500  0.0862  0.3263
O  0.2500  0.5911  0.6621

Principal peaks in the range 2θ = 5–70°, in order of rising 2θ:
- 15.5 deg, I = 100
- 31.3 deg, I = 11
- 36.3 deg, I = 18
- 39.7 deg, I = 32
- 43.7 deg, I = 12
- 48.7 deg, I = 37
- 61.5 deg, I = 16
- 65.3 deg, I = 11
- 65.4 deg, I = 5
- 67.6 deg, I = 6

---

Simulated powder X-ray diffraction pattern
Compound: Na2MnO3
Radiation: Cu Ka
Structure: a crystal structure in the Materials Project, relaxed with PBE+U

Cell and atoms:
Unit cell a=6.4228 b=8.8499 c=18.2605 alpha=90.00 beta=90.00 gamma=90.00
Space group Fddd (No. 70, origin choice 2)
Unique sites:
Na  0.1250  0.1250  0.0464
Na  0.1250  0.1250  0.3690
Mn  0.1250  0.1250  0.5403
O  0.0714  0.3750  0.8750
O  0.1024  0.3505  0.7191

Principal peaks in the range 2θ = 5–70°, in order of rising 2θ:
- 17.7 deg, I = 44
- 22.3 deg, I = 7
- 29.9 deg, I = 9
- 34.5 deg, I = 19
- 35.8 deg, I = 16
- 40.8 deg, I = 100
- 57.4 deg, I = 9
- 59.1 deg, I = 36
- 60.9 deg, I = 8
- 69.5 deg, I = 7